No. 1
Structure and simulated PXRD pattern of BaLi3Ga3 (a crystal structure in Alexandria, relaxed with PBE; CuKα).

Most intense lines, 10° ≤ 2θ ≤ 80°, sorted by position:
- 2θ = 13.04°, rel. 46
- 2θ = 26.26°, rel. 62
- 2θ = 27.80°, rel. 100
- 2θ = 33.03°, rel. 23
- 2θ = 34.43°, rel. 24
- 2θ = 34.69°, rel. 26
- 2θ = 42.22°, rel. 31
- 2θ = 45.14°, rel. 12
- 2θ = 49.79°, rel. 13
- 2θ = 53.94°, rel. 20
- 2θ = 57.71°, rel. 14
- 2θ = 76.04°, rel. 16

Crystal structure
```
BaLi3Ga3
1.0
4.5112 2.6045 4.5669
-4.5112 2.6045 4.5669
0.0000 -5.2091 4.5669
Ba Li Ga
2 6 6
Cartesian
0.0000 0.0000 2.6359
0.0000 0.0000 11.0647
-1.7604 -0.4877 5.8448
-0.4579 -1.7684 7.8559
1.3025 -1.2807 5.8448
-1.3025 1.2807 7.8559
0.4579 1.7684 5.8448
1.7604 0.4876 7.8559
-0.7340 -2.8156 4.8712
-2.0714 2.0435 4.8712
-2.8054 -0.7721 8.8295
2.8054 0.7721 4.8712
2.0714 -2.0435 8.8295
0.7340 2.8156 8.8295
```

No. 2
Structure and simulated PXRD pattern of Ba2LiGa7 (a crystal structure in Alexandria, relaxed with PBE; CuKα).

Most intense lines, 10° ≤ 2θ ≤ 80°, sorted by position:
- 2θ = 27.49°, rel. 32
- 2θ = 31.16°, rel. 87
- 2θ = 32.00°, rel. 100
- 2θ = 39.27°, rel. 68
- 2θ = 43.03°, rel. 11
- 2θ = 45.60°, rel. 36
- 2θ = 50.96°, rel. 43
- 2θ = 56.75°, rel. 23
- 2θ = 57.60°, rel. 13
- 2θ = 61.72°, rel. 29
- 2θ = 66.65°, rel. 23
- 2θ = 79.73°, rel. 12

Crystal structure
```
Ba2LiGa7
1.0
4.5883 0.0000 0.0000
0.0000 4.5883 0.0000
0.0000 0.0000 11.0380
Ba Li Ga
2 1 7
Cartesian
0.0000 2.2941 2.7080
2.2941 0.0000 8.3300
0.0000 0.0000 5.5190
0.0000 0.0000 0.0000
0.0000 2.2941 6.9420
0.0000 2.2941 9.5992
2.2941 0.0000 1.4388
2.2941 0.0000 4.0961
2.2941 2.2941 0.0000
2.2941 2.2941 5.5190
```

No. 3
Structure and simulated PXRD pattern of Ba6Li15Ga8 (a crystal structure in Alexandria, relaxed with PBE; CuKα).

Most intense lines, 10° ≤ 2θ ≤ 80°, sorted by position:
- 2θ = 17.31°, rel. 17
- 2θ = 21.25°, rel. 74
- 2θ = 26.83°, rel. 32
- 2θ = 27.54°, rel. 20
- 2θ = 30.22°, rel. 14
- 2θ = 32.11°, rel. 14
- 2θ = 35.04°, rel. 100
- 2θ = 41.34°, rel. 32
- 2θ = 50.39°, rel. 15
- 2θ = 51.65°, rel. 18
- 2θ = 55.28°, rel. 14
- 2θ = 62.85°, rel. 29

Crystal structure
```
Ba6Li15Ga8
1.0
0.0000 7.2432 7.2432
7.2432 0.0000 7.2432
7.2432 7.2432 0.0000
Ba Li Ga
6 15 8
Cartesian
7.2432 7.2432 3.3871
7.2432 3.3871 7.2432
11.0993 7.2432 7.2432
3.3871 7.2432 7.2432
7.2432 11.0993 7.2432
7.2432 7.2432 11.0993
3.6216 3.6216 0.0000
3.6216 0.0000 3.6216
7.2432 3.6216 3.6216
2.6096 2.6096 2.6096
4.6335 4.6335 2.6096
4.6335 2.6096 4.6335
2.6096 4.6335 4.6335
0.0000 3.6216 3.6216
3.6216 7.2432 3.6216
3.6216 3.6216 7.2432
7.2432 7.2432 7.2432
11.8767 9.8528 9.8528
9.8528 11.8767 9.8528
9.8528 9.8528 11.8767
11.8767 11.8767 11.8767
9.1824 5.3040 5.3040
5.3040 5.3040 5.3040
9.1824 9.1824 5.3040
9.1824 5.3040 9.1824
5.3040 9.1824 5.3040
5.3040 5.3040 9.1824
9.1824 9.1824 9.1824
5.3040 9.1824 9.1824
```

No. 4
Structure and simulated PXRD pattern of BaLiGaPt (a crystal structure in Alexandria, relaxed with PBE; CuKα).

Most intense lines, 10° ≤ 2θ ≤ 80°, sorted by position:
- 2θ = 15.68°, rel. 53
- 2θ = 23.46°, rel. 100
- 2θ = 25.19°, rel. 41
- 2θ = 31.12°, rel. 29
- 2θ = 31.25°, rel. 58
- 2θ = 31.66°, rel. 45
- 2θ = 35.10°, rel. 64
- 2θ = 40.11°, rel. 62
- 2θ = 40.24°, rel. 31
- 2θ = 51.71°, rel. 21
- 2θ = 51.90°, rel. 23
- 2θ = 52.06°, rel. 44

Crystal structure
```
BaLiGaPt
1.0
7.7966 0.0000 0.0000
0.0000 4.4822 0.0000
-2.6152 0.0000 5.6525
Ba Li Ga Pt
2 2 2 2
Cartesian
0.0000 0.0000 0.0000
3.8983 2.2411 0.0000
-0.0203 0.0000 3.0972
3.8780 2.2411 3.0972
2.5839 0.0000 2.4639
6.4822 2.2411 2.4639
1.2769 2.2411 2.3278
5.1753 0.0000 2.3278
```

No. 5
Structure and simulated PXRD pattern of BaLi2GaS4 (a crystal structure in Alexandria, relaxed with PBE; CuKα).

Most intense lines, 10° ≤ 2θ ≤ 80°, sorted by position:
- 2θ = 18.67°, rel. 100
- 2θ = 28.90°, rel. 87
- 2θ = 31.74°, rel. 25
- 2θ = 34.63°, rel. 57
- 2θ = 37.86°, rel. 33
- 2θ = 42.53°, rel. 14
- 2θ = 44.14°, rel. 13
- 2θ = 48.32°, rel. 42
- 2θ = 48.71°, rel. 16
- 2θ = 52.61°, rel. 21
- 2θ = 63.30°, rel. 16
- 2θ = 66.30°, rel. 13

Crystal structure
```
BaLi2GaS4
1.0
6.7215 0.0000 0.0000
0.0000 6.7215 0.0000
0.0000 0.0000 8.1329
Ba Li Ga S
2 4 2 8
Cartesian
0.0000 0.0000 0.0000
3.3607 3.3607 4.0665
0.0000 3.3607 2.0332
0.0000 3.3607 6.0997
3.3607 0.0000 2.0332
3.3607 0.0000 6.0997
0.0000 0.0000 4.0665
3.3607 3.3607 0.0000
1.3210 1.3210 5.3918
1.3210 5.4005 2.7412
2.0398 2.0398 1.3253
2.0398 4.6817 6.8076
4.6817 2.0398 6.8076
4.6817 4.6817 1.3253
5.4005 1.3210 2.7412
5.4005 5.4005 5.3918
```

No. 6
Structure and simulated PXRD pattern of Ba2LiGa3Sn4 (a crystal structure in Alexandria, relaxed with PBE; CuKα).

Most intense lines, 10° ≤ 2θ ≤ 80°, sorted by position:
- 2θ = 25.24°, rel. 13
- 2θ = 26.50°, rel. 13
- 2θ = 30.01°, rel. 100
- 2θ = 36.00°, rel. 46
- 2θ = 41.33°, rel. 14
- 2θ = 44.59°, rel. 16
- 2θ = 47.56°, rel. 25
- 2θ = 51.82°, rel. 16
- 2θ = 56.03°, rel. 8
- 2θ = 58.58°, rel. 17
- 2θ = 61.05°, rel. 21
- 2θ = 78.80°, rel. 9

Crystal structure
```
Ba2LiGa3Sn4
1.0
4.9898 0.0000 0.0000
0.0000 4.9898 0.0000
0.0000 0.0000 11.1242
Ba Li Ga Sn
2 1 3 4
Cartesian
0.0000 2.4949 2.7071
2.4949 0.0000 8.4172
2.4949 2.4949 0.0000
0.0000 0.0000 0.0000
0.0000 2.4949 7.0029
2.4949 0.0000 4.1213
0.0000 0.0000 5.5621
0.0000 2.4949 9.7239
2.4949 0.0000 1.4003
2.4949 2.4949 5.5621
```

No. 7
Structure and simulated PXRD pattern of BaMg6Ga3 (a crystal structure in Alexandria, relaxed with PBE; CuKα).

Most intense lines, 10° ≤ 2θ ≤ 80°, sorted by position:
- 2θ = 21.21°, rel. 60
- 2θ = 22.45°, rel. 53
- 2θ = 24.34°, rel. 45
- 2θ = 25.90°, rel. 35
- 2θ = 28.54°, rel. 33
- 2θ = 29.49°, rel. 40
- 2θ = 31.49°, rel. 36
- 2θ = 33.01°, rel. 52
- 2θ = 34.97°, rel. 48
- 2θ = 35.24°, rel. 100
- 2θ = 38.36°, rel. 93
- 2θ = 39.78°, rel. 57

Crystal structure
```
BaMg6Ga3
1.0
10.2520 0.0000 0.0000
0.0000 4.5318 0.0000
-1.8659 0.0000 10.9690
Ba Mg Ga
2 12 6
Cartesian
-0.2228 1.1330 2.1328
8.6089 3.3989 8.8362
0.2634 3.3989 5.2057
0.6963 1.1330 10.4529
1.2222 1.1330 7.4279
3.3326 1.1330 2.3921
3.2535 3.3989 6.1343
4.7636 3.3989 1.0106
3.6225 1.1330 9.9584
5.1326 1.1330 4.8348
5.0535 3.3989 8.5770
7.1640 3.3989 3.5411
7.6898 3.3989 0.5162
8.1227 1.1330 5.7633
2.0093 3.3989 0.9594
2.1178 1.1330 4.8318
1.9853 3.3989 9.0878
6.4008 1.1330 1.8813
6.2683 3.3989 6.1373
6.3769 1.1330 10.0097
```

No. 8
Structure and simulated PXRD pattern of Ba3MgGa4 (a crystal structure in Alexandria, relaxed with PBE; CuKα).

Most intense lines, 10° ≤ 2θ ≤ 80°, sorted by position:
- 2θ = 24.31°, rel. 100
- 2θ = 27.61°, rel. 38
- 2θ = 28.02°, rel. 38
- 2θ = 28.85°, rel. 20
- 2θ = 31.28°, rel. 23
- 2θ = 32.06°, rel. 78
- 2θ = 34.32°, rel. 56
- 2θ = 34.57°, rel. 60
- 2θ = 37.56°, rel. 23
- 2θ = 38.02°, rel. 25
- 2θ = 45.70°, rel. 19
- 2θ = 47.40°, rel. 20

Crystal structure
```
Ba3MgGa4
1.0
6.3690 0.0000 0.0000
0.0000 12.9230 0.0000
0.0000 0.0000 6.2027
Ba Mg Ga
6 2 8
Cartesian
1.5923 0.1378 1.1888
1.5923 3.2308 3.5504
1.5923 6.3237 1.1888
4.7768 6.5993 5.0139
4.7768 9.6923 2.6523
4.7768 12.7852 5.0139
1.5923 9.6923 1.6846
4.7768 3.2308 4.5181
0.1395 3.2308 0.4358
1.5923 8.2545 4.2362
1.5923 11.1300 4.2362
3.0450 3.2308 0.4358
3.3240 9.6923 5.7669
4.7768 1.7930 1.9665
4.7768 4.6685 1.9665
6.2295 9.6923 5.7669
```